TbYCoAu: simulated powder X-ray diffraction pattern (a wavelength of 1.5418 Å), based on a cell relaxed with PBE.
Neutral-atom scattering factors, no anomalous dispersion.

```
data_TbYCoAu
_chemical_formula_sum 'Tb4 Y4 Co4 Au4'
_space_group_name_H-M_alt 'F -4 3 m'
_space_group_IT_number 216
_space_group_name_Hall 'F -4 2 3'
_cell_length_a 7.0021
_cell_length_b 7.0021
_cell_length_c 7.0021
_cell_angle_alpha 90.00
_cell_angle_beta 90.00
_cell_angle_gamma 90.00
loop_
_atom_site_label
_atom_site_type_symbol
_atom_site_fract_x
_atom_site_fract_y
_atom_site_fract_z
Tb1 Tb 0.0000 0.0000 0.0000
Y1 Y 0.0000 0.0000 0.5000
Co1 Co 0.2500 0.2500 0.2500
Au1 Au 0.2500 0.2500 0.7500
```

Principal peaks in the range 2θ = 10–90°, by angle:
- 2θ = 22.0°, 4.043 Å, rel. 20
- 2θ = 36.3°, 2.476 Å, rel. 100
- 2θ = 42.8°, 2.111 Å, rel. 12
- 2θ = 52.3°, 1.751 Å, rel. 17
- 2θ = 57.4°, 1.606 Å, rel. 5
- 2θ = 65.3°, 1.429 Å, rel. 36
- 2θ = 69.8°, 1.348 Å, rel. 4
- 2θ = 77.0°, 1.238 Å, rel. 11
- 2θ = 81.3°, 1.184 Å, rel. 4
- 2θ = 88.3°, 1.107 Å, rel. 16



Co2TcAu: simulated powder X-ray diffraction pattern (a wavelength of 1.5418 Å), based on a cell relaxed with PBE.
Neutral-atom scattering factors, no anomalous dispersion.

```
data_Co2TcAu
_chemical_formula_sum 'Co4 Tc2 Au2'
_space_group_name_H-M_alt 'C 1 2/m 1'
_space_group_IT_number 12
_space_group_name_Hall '-C 2y'
_cell_length_a 8.5531
_cell_length_b 2.6789
_cell_length_c 4.8657
_cell_angle_alpha 90.00
_cell_angle_beta 99.03
_cell_angle_gamma 90.00
loop_
_atom_site_label
_atom_site_type_symbol
_atom_site_fract_x
_atom_site_fract_y
_atom_site_fract_z
Co1 Co 0.2451 0.0000 0.2095
Tc1 Tc 0.0000 0.5000 0.0000
Au1 Au 0.0000 0.0000 0.5000
```

Principal peaks in the range 2θ = 10–90°, by angle:
- 2θ = 21.0°, 4.224 Å, rel. 46
- 2θ = 25.8°, 3.452 Å, rel. 14
- 2θ = 37.4°, 2.403 Å, rel. 13
- 2θ = 39.2°, 2.301 Å, rel. 21
- 2θ = 40.2°, 2.245 Å, rel. 51
- 2θ = 40.8°, 2.212 Å, rel. 100
- 2θ = 42.8°, 2.112 Å, rel. 44
- 2θ = 46.3°, 1.960 Å, rel. 32
- 2θ = 48.7°, 1.871 Å, rel. 61
- 2θ = 67.5°, 1.387 Å, rel. 21
- 2θ = 71.3°, 1.323 Å, rel. 18
- 2θ = 72.3°, 1.307 Å, rel. 16



CoTcAu4: simulated powder X-ray diffraction pattern (a wavelength of 1.5418 Å), based on a cell relaxed with PBE.
Neutral-atom scattering factors, no anomalous dispersion.

```
data_CoTcAu4
_chemical_formula_sum 'Co4 Tc4 Au16'
_space_group_name_H-M_alt 'F -4 3 m'
_space_group_IT_number 216
_space_group_name_Hall 'F -4 2 3'
_cell_length_a 7.6318
_cell_length_b 7.6318
_cell_length_c 7.6318
_cell_angle_alpha 90.00
_cell_angle_beta 90.00
_cell_angle_gamma 90.00
loop_
_atom_site_label
_atom_site_type_symbol
_atom_site_fract_x
_atom_site_fract_y
_atom_site_fract_z
Co1 Co 0.0000 0.0000 0.0000
Tc1 Tc 0.2500 0.2500 0.2500
Au1 Au 0.1252 0.1252 0.6252
```

Principal peaks in the range 2θ = 10–90°, by angle:
- 2θ = 20.2°, 4.406 Å, rel. 51
- 2θ = 33.2°, 2.698 Å, rel. 8
- 2θ = 39.1°, 2.301 Å, rel. 100
- 2θ = 41.0°, 2.203 Å, rel. 71
- 2θ = 47.7°, 1.908 Å, rel. 22
- 2θ = 52.2°, 1.751 Å, rel. 14
- 2θ = 63.3°, 1.469 Å, rel. 32
- 2θ = 69.7°, 1.349 Å, rel. 32
- 2θ = 73.4°, 1.290 Å, rel. 11
- 2θ = 83.0°, 1.164 Å, rel. 12
- 2θ = 84.1°, 1.151 Å, rel. 28
- 2θ = 88.8°, 1.102 Å, rel. 6



CoTcAu: simulated powder X-ray diffraction pattern (a wavelength of 1.5418 Å), based on a cell relaxed with PBE.
Neutral-atom scattering factors, no anomalous dispersion.

```
data_CoTcAu
_chemical_formula_sum 'Co1 Tc1 Au1'
_space_group_name_H-M_alt 'P 3 m 1'
_space_group_IT_number 156
_space_group_name_Hall 'P 3 -2"'
_cell_length_a 2.7484
_cell_length_b 2.7484
_cell_length_c 6.7080
_cell_angle_alpha 90.00
_cell_angle_beta 90.00
_cell_angle_gamma 120.00
loop_
_atom_site_label
_atom_site_type_symbol
_atom_site_fract_x
_atom_site_fract_y
_atom_site_fract_z
Co1 Co 0.0000 0.0000 0.0000
Tc1 Tc 0.3333 0.6667 0.2874
Au1 Au 0.6667 0.3333 0.6585
```

Principal peaks in the range 2θ = 10–90°, by angle:
- 2θ = 13.2°, 6.708 Å, rel. 27
- 2θ = 26.6°, 3.354 Å, rel. 19
- 2θ = 37.8°, 2.380 Å, rel. 12
- 2θ = 40.2°, 2.243 Å, rel. 100
- 2θ = 40.3°, 2.236 Å, rel. 25
- 2θ = 46.8°, 1.941 Å, rel. 56
- 2θ = 56.5°, 1.630 Å, rel. 11
- 2θ = 68.2°, 1.374 Å, rel. 18
- 2θ = 68.4°, 1.371 Å, rel. 21
- 2θ = 82.3°, 1.171 Å, rel. 32
- 2θ = 82.5°, 1.169 Å, rel. 8
- 2θ = 86.8°, 1.122 Å, rel. 10



Co2TeAu: simulated powder X-ray diffraction pattern (a wavelength of 1.5418 Å), based on a cell relaxed with PBE.
Neutral-atom scattering factors, no anomalous dispersion.

```
data_Co2TeAu
_chemical_formula_sum 'Co2 Te1 Au1'
_space_group_name_H-M_alt 'P 3 m 1'
_space_group_IT_number 156
_space_group_name_Hall 'P 3 -2"'
_cell_length_a 3.9228
_cell_length_b 3.9228
_cell_length_c 5.9033
_cell_angle_alpha 90.00
_cell_angle_beta 90.00
_cell_angle_gamma 120.00
loop_
_atom_site_label
_atom_site_type_symbol
_atom_site_fract_x
_atom_site_fract_y
_atom_site_fract_z
Co1 Co 0.0000 0.0000 0.0000
Co2 Co 0.3333 0.6667 0.0740
Te1 Te 0.6667 0.3333 0.7861
Au1 Au 0.6667 0.3333 0.3217
```

Principal peaks in the range 2θ = 10–90°, by angle:
- 2θ = 15.0°, 5.903 Å, rel. 15
- 2θ = 26.2°, 3.397 Å, rel. 76
- 2θ = 30.3°, 2.947 Å, rel. 37
- 2θ = 40.5°, 2.228 Å, rel. 100
- 2θ = 46.3°, 1.961 Å, rel. 49
- 2θ = 54.0°, 1.699 Å, rel. 11
- 2θ = 56.3°, 1.633 Å, rel. 17
- 2θ = 63.2°, 1.472 Å, rel. 27
- 2θ = 69.4°, 1.354 Å, rel. 11
- 2θ = 73.8°, 1.284 Å, rel. 9
- 2θ = 81.6°, 1.179 Å, rel. 12
- 2θ = 81.8°, 1.177 Å, rel. 26



Th6Co4Au: simulated powder X-ray diffraction pattern (a wavelength of 1.5418 Å), based on a cell relaxed with PBE.
Neutral-atom scattering factors, no anomalous dispersion.

```
data_Th6Co4Au
_chemical_formula_sum 'Th24 Co16 Au4'
_space_group_name_H-M_alt 'C m c m'
_space_group_IT_number 63
_space_group_name_Hall '-C 2c 2'
_cell_length_a 3.9365
_cell_length_b 13.2396
_cell_length_c 20.3630
_cell_angle_alpha 90.00
_cell_angle_beta 90.00
_cell_angle_gamma 90.00
loop_
_atom_site_label
_atom_site_type_symbol
_atom_site_fract_x
_atom_site_fract_y
_atom_site_fract_z
Th1 Th 0.0000 0.0000 0.0000
Th2 Th 0.0000 0.1582 0.2500
Th3 Th 0.0000 0.2649 0.5844
Th4 Th 0.0000 0.4654 0.1578
Co1 Co 0.0000 0.1023 0.1257
Co2 Co 0.0000 0.3650 0.0446
Au1 Au 0.0000 0.1582 0.7500
```

Principal peaks in the range 2θ = 10–90°, by angle:
- 2θ = 27.0°, 3.301 Å, rel. 25
- 2θ = 29.5°, 3.031 Å, rel. 55
- 2θ = 29.6°, 3.020 Å, rel. 100
- 2θ = 30.8°, 2.908 Å, rel. 37
- 2θ = 31.7°, 2.823 Å, rel. 98
- 2θ = 33.2°, 2.696 Å, rel. 37
- 2θ = 42.9°, 2.110 Å, rel. 22
- 2θ = 44.9°, 2.017 Å, rel. 25
- 2θ = 46.1°, 1.968 Å, rel. 33
- 2θ = 46.8°, 1.940 Å, rel. 24
- 2θ = 54.9°, 1.674 Å, rel. 22
- 2θ = 55.7°, 1.649 Å, rel. 39



Th6CoAu2: simulated powder X-ray diffraction pattern (a wavelength of 1.5418 Å), based on a cell relaxed with PBE.
Neutral-atom scattering factors, no anomalous dispersion.

```
data_Th6CoAu2
_chemical_formula_sum 'Th12 Co2 Au4'
_space_group_name_H-M_alt 'P 1 21/c 1'
_space_group_IT_number 14
_space_group_name_Hall '-P 2ybc'
_cell_length_a 6.4389
_cell_length_b 7.6402
_cell_length_c 11.8705
_cell_angle_alpha 90.00
_cell_angle_beta 119.90
_cell_angle_gamma 90.00
loop_
_atom_site_label
_atom_site_type_symbol
_atom_site_fract_x
_atom_site_fract_y
_atom_site_fract_z
Th1 Th 0.0934 0.2000 0.4482
Th2 Th 0.3086 0.6742 0.4491
Th3 Th 0.3926 0.0314 0.2515
Co1 Co 0.5000 0.0000 0.5000
Au1 Au 0.1481 0.1107 0.7375
```

Principal peaks in the range 2θ = 10–90°, by angle:
- 2θ = 29.1°, 3.067 Å, rel. 100
- 2θ = 30.1°, 2.964 Å, rel. 88
- 2θ = 31.0°, 2.884 Å, rel. 80
- 2θ = 31.2°, 2.866 Å, rel. 41
- 2θ = 31.8°, 2.813 Å, rel. 51
- 2θ = 31.9°, 2.801 Å, rel. 64
- 2θ = 32.4°, 2.764 Å, rel. 49
- 2θ = 34.2°, 2.621 Å, rel. 53
- 2θ = 34.9°, 2.573 Å, rel. 48
- 2θ = 35.7°, 2.518 Å, rel. 39
- 2θ = 38.0°, 2.368 Å, rel. 64
- 2θ = 53.0°, 1.728 Å, rel. 41



TiCoAu3: simulated powder X-ray diffraction pattern (a wavelength of 1.5418 Å), based on a cell relaxed with PBE.
Neutral-atom scattering factors, no anomalous dispersion.

```
data_TiCoAu3
_chemical_formula_sum 'Ti1 Co1 Au3'
_space_group_name_H-M_alt 'P m -3 m'
_space_group_IT_number 221
_space_group_name_Hall '-P 4 2 3'
_cell_length_a 4.6953
_cell_length_b 4.6953
_cell_length_c 4.6953
_cell_angle_alpha 90.00
_cell_angle_beta 90.00
_cell_angle_gamma 90.00
loop_
_atom_site_label
_atom_site_type_symbol
_atom_site_fract_x
_atom_site_fract_y
_atom_site_fract_z
Ti1 Ti 0.0000 0.0000 0.0000
Co1 Co 0.5000 0.5000 0.5000
Au1 Au 0.0000 0.5000 0.5000
```

Principal peaks in the range 2θ = 10–90°, by angle:
- 2θ = 18.9°, 4.695 Å, rel. 39
- 2θ = 26.9°, 3.320 Å, rel. 6
- 2θ = 33.0°, 2.711 Å, rel. 100
- 2θ = 38.3°, 2.348 Å, rel. 74
- 2θ = 43.1°, 2.100 Å, rel. 20
- 2θ = 55.3°, 1.660 Å, rel. 51
- 2θ = 59.0°, 1.565 Å, rel. 10
- 2θ = 66.0°, 1.416 Å, rel. 42
- 2θ = 69.3°, 1.355 Å, rel. 17
- 2θ = 72.6°, 1.302 Å, rel. 4
- 2θ = 82.1°, 1.174 Å, rel. 8
- 2θ = 85.2°, 1.139 Å, rel. 6



- Number 1 is which compound?
  TbYCoAu